No. 1
This entry pairs a crystal structure of Ho12Si5S28 with its computed XRD peak list. Radiation: Cu Ka. Structure: a crystal structure in the Materials Project, relaxed with GGA-PBE.
Neutral-atom scattering factors, no anomalous dispersion.

Cell and atoms:
Cell lengths 9.7677, 11.3067, 11.3111 Å; angles 60.73, 64.42, 64.41 degrees
Space group P1 (No. 1)
One atom of each set of equivalent atoms:
Ho  0.0000  0.0000  0.0000 (multiplicity 1)
Ho  0.0015  0.4883  0.5276 (multiplicity 1)
Ho  0.2638  0.4717  0.9770 (multiplicity 1)
Ho  0.2734  0.9630  0.4958 (multiplicity 1)
Ho  0.3517  0.1907  0.6946 (multiplicity 1)
Ho  0.3611  0.6645  0.1985 (multiplicity 1)
Ho  0.4831  0.5306  0.5697 (multiplicity 1)
Ho  0.4986  0.0467  0.0473 (multiplicity 1)
Ho  0.7663  0.9186  0.4521 (multiplicity 1)
Ho  0.7877  0.4281  0.9327 (multiplicity 1)
Ho  0.9045  0.2993  0.2983 (multiplicity 1)
Ho  0.9174  0.7700  0.8095 (multiplicity 1)
Si  0.1335  0.0027  0.2290 (multiplicity 1)
Si  0.4670  0.2302  0.3355 (multiplicity 1)
Si  0.4676  0.7284  0.8357 (multiplicity 1)
Si  0.7996  0.1483  0.7481 (multiplicity 1)
Si  0.8014  0.6497  0.2507 (multiplicity 1)
S  0.0284  0.9972  0.7480 (multiplicity 1)
S  0.0328  0.5053  0.2574 (multiplicity 1)
S  0.0374  0.2896  0.7810 (multiplicity 1)
S  0.0438  0.8236  0.2680 (multiplicity 1)
S  0.2220  0.1896  0.1911 (multiplicity 1)
S  0.2337  0.7039  0.6854 (multiplicity 1)
S  0.2370  0.2264  0.4808 (multiplicity 1)
S  0.2367  0.7261  0.9830 (multiplicity 1)
S  0.2828  0.9960  0.9980 (multiplicity 1)
S  0.2925  0.4964  0.4774 (multiplicity 1)
S  0.3629  0.8486  0.2924 (multiplicity 1)
S  0.3928  0.3206  0.8128 (multiplicity 1)
S  0.4619  0.9193  0.6570 (multiplicity 1)
S  0.4727  0.4084  0.1454 (multiplicity 1)
S  0.5532  0.0393  0.2951 (multiplicity 1)
S  0.5554  0.5392  0.7952 (multiplicity 1)
S  0.6093  0.6985  0.9547 (multiplicity 1)
S  0.6126  0.1974  0.4528 (multiplicity 1)
S  0.6495  0.5363  0.2867 (multiplicity 1)
S  0.6629  0.0247  0.7776 (multiplicity 1)
S  0.7117  0.6889  0.4412 (multiplicity 1)
S  0.7170  0.1888  0.9386 (multiplicity 1)
S  0.8002  0.8336  0.0659 (multiplicity 1)
S  0.8013  0.3324  0.5644 (multiplicity 1)
S  0.8767  0.6751  0.6557 (multiplicity 1)
S  0.8969  0.1586  0.1609 (multiplicity 1)
S  0.9731  0.4988  0.9923 (multiplicity 1)
S  0.9945  0.0087  0.4519 (multiplicity 1)

Top 10 peaks for 2θ = 10–80°, low angle first:
| h k l | 2θ (°) | I_rel |
| --- | --- | --- |
| 0 2 0 | 18.74 | 32 |
| 2 2 2 | 21.02 | 33 |
| 1 -2 0 | 23.97 | 28 |
| 2 1 3 | 26.22 | 100 |
| 4 2 2 | 36.83 | 32 |
| 2 4 0 | 38.00 | 29 |
| -3 1 1 | 38.39 | 29 |
| 4 0 2 | 41.64 | 37 |
| 1 5 1 | 42.43 | 27 |
| 1 6 4 | 52.10 | 22 |



No. 2
This entry pairs a crystal structure of Rb2CrCl4 with its computed XRD peak list. Radiation: Cu Ka. Structure: a crystal structure in the Materials Project, relaxed with GGA-PBE.
Neutral-atom scattering factors, no anomalous dispersion.

Cell and atoms:
Cell lengths 7.1984, 7.1590, 8.7932 Å; angles 90.00, 112.71, 90.00 degrees
Space group C2/m (No. 12)
One atom of each set of equivalent atoms:
Rb  0.1339  0.0000  0.2789 (multiplicity 4)
Cr  0.0000  0.5000  0.0000 (multiplicity 2)
Cl  0.1438  0.5000  0.3060 (multiplicity 4)
Cl  0.2500  0.2500  0.0000 (multiplicity 4)

Top 10 peaks for 2θ = 10–80°, low angle first:
| h k l | 2θ (°) | I_rel |
| --- | --- | --- |
| 0 0 1 | 10.91 | 36 |
| 1 1 1 | 23.83 | 36 |
| 1 1 -2 | 24.26 | 36 |
| 2 0 -1 | 24.74 | 49 |
| 0 2 0 | 24.87 | 49 |
| 2 0 1 | 32.86 | 27 |
| 0 0 3 | 33.13 | 34 |
| 0 2 2 | 33.39 | 47 |
| 2 2 -1 | 35.37 | 100 |
| 2 2 2 | 48.79 | 22 |



No. 3
This entry pairs a crystal structure of YFe2S4 with its computed XRD peak list. Radiation: Cu Ka. Structure: a crystal structure in the Materials Project, relaxed with GGA-PBE.
Neutral-atom scattering factors, no anomalous dispersion.

Cell and atoms:
Cell lengths 10.4004, 10.1446, 7.2308 Å; angles 90.00, 133.97, 90.00 degrees
Space group C2/c (No. 15)
One atom of each set of equivalent atoms:
Y  0.2500  0.2500  0.0000 (multiplicity 4)
Fe  0.0000  0.0000  0.0000 (multiplicity 4)
Fe  0.0000  0.3779  0.2500 (multiplicity 4)
S  0.0004  0.2309  0.0144 (multiplicity 8)
S  0.2233  0.0136  0.4754 (multiplicity 8)

Top 10 peaks for 2θ = 10–80°, low angle first:
| h k l | 2θ (°) | I_rel |
| --- | --- | --- |
| 0 2 1 | 24.52 | 23 |
| 1 1 1 | 28.26 | 90 |
| 1 1 -2 | 28.80 | 48 |
| 1 3 -1 | 29.15 | 51 |
| 0 0 2 | 34.49 | 71 |
| 0 4 0 | 35.39 | 31 |
| 5 1 -2 | 45.05 | 27 |
| 4 0 0 | 48.66 | 28 |
| 0 4 2 | 50.25 | 100 |
| 4 0 -4 | 50.49 | 26 |



No. 4
This entry pairs a crystal structure of NaSr2Ta3O9 with its computed XRD peak list. Radiation: Cu Ka. Structure: a crystal structure in the Materials Project, relaxed with GGA-PBE.
Neutral-atom scattering factors, no anomalous dispersion.

Cell and atoms:
Cell lengths 5.7135, 5.7135, 6.9943 Å; angles 90.00, 90.00, 120.00 degrees
Space group P-3m1 (No. 164)
One atom of each set of equivalent atoms:
Na  0.0000  0.0000  0.0000 (multiplicity 1)
Sr  0.3333  0.6667  0.6705 (multiplicity 2)
Ta  0.0000  0.0000  0.5000 (multiplicity 1)
Ta  0.3333  0.6667  0.1638 (multiplicity 2)
O  0.0000  0.5000  0.0000 (multiplicity 3)
O  0.1684  0.3368  0.3366 (multiplicity 6)

Top 10 peaks for 2θ = 10–80°, low angle first:
| h k l | 2θ (°) | I_rel |
| --- | --- | --- |
| 1 0 1 | 22.00 | 39 |
| 1 1 0 | 31.32 | 100 |
| 0 2 1 | 38.60 | 3 |
| 2 0 2 | 44.88 | 30 |
| 2 1 1 | 50.52 | 17 |
| 3 0 0 | 55.74 | 41 |
| 2 2 0 | 65.34 | 19 |
| 1 3 1 | 69.86 | 8 |
| 3 1 2 | 74.24 | 18 |
| 4 0 1 | 78.54 | 2 |



No. 5
This entry pairs a crystal structure of HoGeRh with its computed XRD peak list. Radiation: Cu Ka. Structure: a crystal structure in the Materials Project, relaxed with GGA-PBE.
Neutral-atom scattering factors, no anomalous dispersion.

Cell and atoms:
Cell lengths 6.9195, 4.3123, 7.5723 Å; angles 90.00, 90.00, 90.00 degrees
Space group Pnma (No. 62)
One atom of each set of equivalent atoms:
Ho  0.0033  0.2500  0.1949 (multiplicity 4)
Ge  0.2126  0.7500  0.3933 (multiplicity 4)
Rh  0.1556  0.2500  0.5668 (multiplicity 4)

Top 10 peaks for 2θ = 10–80°, low angle first:
| h k l | 2θ (°) | I_rel |
| --- | --- | --- |
| 1 1 2 | 34.07 | 67 |
| 2 0 2 | 35.14 | 32 |
| 2 1 1 | 35.31 | 100 |
| 1 0 3 | 37.94 | 21 |
| 3 0 1 | 40.90 | 26 |
| 0 1 3 | 41.45 | 45 |
| 0 2 0 | 41.90 | 41 |
| 2 2 2 | 55.80 | 17 |
| 3 2 1 | 59.99 | 17 |
| 3 1 4 | 67.60 | 28 |



No. 6
This entry pairs a crystal structure of Na5LiN2 with its computed XRD peak list. Radiation: Cu Ka. Structure: a crystal structure in the Materials Project, relaxed with GGA-PBE.
Neutral-atom scattering factors, no anomalous dispersion.

Cell and atoms:
Cell lengths 6.0441, 6.1992, 6.1461 Å; angles 90.00, 91.47, 90.00 degrees
Space group C2 (No. 5)
One atom of each set of equivalent atoms:
Na  0.0000  0.0000  0.0000 (multiplicity 2)
Na  0.0000  0.0089  0.5000 (multiplicity 2)
Na  0.0000  0.4663  0.0000 (multiplicity 2)
Na  0.2109  0.7405  0.2857 (multiplicity 4)
Li  0.0000  0.4826  0.5000 (multiplicity 2)
N  0.2319  0.7242  0.7224 (multiplicity 4)

Top 10 peaks for 2θ = 10–80°, low angle first:
| h k l | 2θ (°) | I_rel |
| --- | --- | --- |
| 1 1 0 | 20.53 | 9 |
| 1 1 1 | 25.39 | 13 |
| 0 2 1 | 32.35 | 9 |
| 2 0 -1 | 32.69 | 8 |
| 0 2 2 | 41.38 | 100 |
| 2 2 0 | 41.75 | 68 |
| 2 0 2 | 42.50 | 34 |
| 0 4 0 | 59.66 | 10 |
| 2 4 -2 | 75.20 | 11 |
| 2 4 2 | 75.97 | 13 |



No. 7
This entry pairs a crystal structure of EuIn2Ge4Ir4 with its computed XRD peak list. Radiation: Cu Ka. Structure: a crystal structure in the Materials Project, relaxed with GGA-PBE.
Neutral-atom scattering factors, no anomalous dispersion.

Cell and atoms:
Cell lengths 7.0136, 7.0136, 8.8277 Å; angles 90.00, 90.00, 90.00 degrees
Space group I-42m (No. 121)
One atom of each set of equivalent atoms:
Eu  0.0000  0.0000  0.0000 (multiplicity 2)
In  0.0000  0.5000  0.0000 (multiplicity 4)
Ge  0.1827  0.1827  0.3056 (multiplicity 8)
Ir  0.1576  0.1576  0.6020 (multiplicity 8)

Top 10 peaks for 2θ = 10–80°, low angle first:
| h k l | 2θ (°) | I_rel |
| --- | --- | --- |
| 1 0 1 | 16.14 | 65 |
| 1 1 2 | 27.04 | 47 |
| 2 1 1 | 30.24 | 70 |
| 2 0 2 | 32.61 | 50 |
| 1 0 3 | 33.01 | 38 |
| 2 2 0 | 36.23 | 37 |
| 3 0 1 | 39.89 | 100 |
| 3 1 0 | 40.68 | 48 |
| 2 2 2 | 41.78 | 43 |
| 2 1 3 | 42.11 | 100 |



No. 8
This entry pairs a crystal structure of Sc4Al with its computed XRD peak list. Radiation: Cu Ka. Structure: a crystal structure in the Materials Project, relaxed with GGA-PBE.
Neutral-atom scattering factors, no anomalous dispersion.

Cell and atoms:
Cell lengths 10.3145, 10.3145, 10.3145 Å; angles 90.00, 90.00, 90.00 degrees
Space group Fd-3m (No. 227, origin choice 2)
One atom of each set of equivalent atoms:
Sc  0.0214  0.0214  0.2286 (multiplicity 32)
Al  0.1250  0.1250  0.6250 (multiplicity 8)

Top 10 peaks for 2θ = 10–80°, low angle first:
| h k l | 2θ (°) | I_rel |
| --- | --- | --- |
| 2 2 0 | 24.41 | 16 |
| 2 2 2 | 30.01 | 100 |
| 4 0 0 | 34.79 | 31 |
| 3 3 1 | 38.03 | 30 |
| 5 1 1 | 45.71 | 35 |
| 4 4 0 | 50.02 | 32 |
| 6 2 2 | 59.44 | 19 |
| 7 1 1 | 64.52 | 13 |
| 5 5 3 | 70.07 | 8 |
| 7 3 3 | 75.44 | 11 |